No. 1
Structure and computed X-ray powder pattern of Li2VO3 (a structure optimized by DFT (GGA+U); Cu Ka).
Intensities are scaled so that the largest is 100.

```
data_Li2VO3
_cell_length_a 12.5927
_cell_length_b 2.9697
_cell_length_c 5.9822
_cell_angle_alpha 90.00
_cell_angle_beta 104.37
_cell_angle_gamma 90.00
_space_group_name_H-M_alt 'C 1 2/m 1'
_space_group_IT_number 12
_space_group_name_Hall '-C 2y'
loop_
_atom_site_label
_atom_site_fract_x
_atom_site_fract_y
_atom_site_fract_z
Li1 0.0000 0.0000 0.0000
Li2 0.0000 0.0000 0.5000
Li3 0.1628 0.5000 0.3384
V1 0.1569 0.5000 0.8208
O1 0.0118 0.5000 0.7592
O2 0.1689 0.0000 0.6087
O3 0.1739 0.0000 0.0640
```

Top 10 peaks for 10 to 80 degrees two-theta, low angle first:
| Position (°2θ) | I/Imax |
| --- | --- |
| 14.52 | 22 |
| 15.29 | 28 |
| 18.31 | 100 |
| 23.66 | 25 |
| 30.99 | 13 |
| 35.56 | 23 |
| 42.92 | 81 |
| 44.57 | 33 |
| 63.32 | 19 |
| 63.86 | 18 |

=====

No. 2
Structure and computed X-ray powder pattern of Li5V4O8 (a structure optimized by DFT (GGA+U); Cu Ka).
Intensities are scaled so that the largest is 100.

```
data_Li5V4O8
_cell_length_a 6.0757
_cell_length_b 6.0757
_cell_length_c 14.7544
_cell_angle_alpha 90.00
_cell_angle_beta 90.00
_cell_angle_gamma 120.00
_space_group_name_H-M_alt 'R 3 m'
_space_group_IT_number 160
_space_group_name_Hall 'R 3 -2"'
loop_
_atom_site_label
_atom_site_fract_x
_atom_site_fract_y
_atom_site_fract_z
Li1 0.0000 0.0000 0.0000
Li2 0.0000 0.0000 0.1425
Li3 0.0551 0.5275 0.5280
V1 0.0000 0.0000 0.5170
V2 0.9997 0.4998 0.0188
O1 0.0000 0.0000 0.2706
O2 0.0000 0.0000 0.7663
O3 0.0131 0.5065 0.2738
O4 0.1711 0.3423 0.0948
```

Top 10 peaks for 10 to 80 degrees two-theta, low angle first:
| Position (°2θ) | I/Imax |
| --- | --- |
| 17.90 | 71 |
| 18.04 | 29 |
| 34.69 | 43 |
| 34.86 | 12 |
| 36.25 | 11 |
| 42.19 | 100 |
| 61.00 | 29 |
| 61.39 | 28 |
| 64.15 | 8 |
| 76.96 | 12 |

=====

What did the first record say?
Structure and computed X-ray powder pattern of Li2VO3 (a structure optimized by DFT (GGA+U); Cu Ka).
Intensities are scaled so that the largest is 100.

```
data_Li2VO3
_cell_length_a 12.5927
_cell_length_b 2.9697
_cell_length_c 5.9822
_cell_angle_alpha 90.00
_cell_angle_beta 104.37
_cell_angle_gamma 90.00
_space_group_name_H-M_alt 'C 1 2/m 1'
_space_group_IT_number 12
_space_group_name_Hall '-C 2y'
loop_
_atom_site_label
_atom_site_fract_x
_atom_site_fract_y
_atom_site_fract_z
Li1 0.0000 0.0000 0.0000
Li2 0.0000 0.0000 0.5000
Li3 0.1628 0.5000 0.3384
V1 0.1569 0.5000 0.8208
O1 0.0118 0.5000 0.7592
O2 0.1689 0.0000 0.6087
O3 0.1739 0.0000 0.0640
```

Top 10 peaks for 10 to 80 degrees two-theta, low angle first:
| Position (°2θ) | I/Imax |
| --- | --- |
| 14.52 | 22 |
| 15.29 | 28 |
| 18.31 | 100 |
| 23.66 | 25 |
| 30.99 | 13 |
| 35.56 | 23 |
| 42.92 | 81 |
| 44.57 | 33 |
| 63.32 | 19 |
| 63.86 | 18 |